Structure and calculated powder diffractogram of Cs2K6NaPd (DFT lattice parameters and positions (GGA-PBE); Cu Kα).

Largest 10 diffraction maxima, most intense first, 10° ≤ 2θ ≤ 80°:
(hkl)	d (Å)	Rel. int.
2 2 0	4.962	100
0 4 0	3.514	58
2 2 2	4.052	57
4 2 2	2.865	47
4 0 4	2.483	42
1 1 1	8.103	29
4 0 0	3.499	29
4 4 4	2.026	22
4 6 2	1.877	21
4 4 0	2.478	21

Crystal structure
```
data_Cs2K6NaPd
_cell_length_a 13.995
_cell_length_b 14.041
_cell_length_c 14.070
_cell_angle_alpha 90.00
_cell_angle_beta 90.00
_cell_angle_gamma 90.00
_space_group_name_H-M_alt 'F m m m'
_space_group_IT_number 69
_space_group_name_Hall '-F 2 2'
loop_
_atom_site_label
_atom_site_type_symbol
_atom_site_fract_x
_atom_site_fract_y
_atom_site_fract_z
Cs1 Cs 0.250 0.250 0.250
K1 K 0.000 0.000 0.228
K2 K 0.000 0.228 0.000
K3 K 0.228 0.000 0.000
Na1 Na 0.000 0.000 0.500
Pd1 Pd 0.000 0.000 0.000
```


Structure and calculated powder diffractogram of Cs2K4RbNa2 (DFT lattice parameters and positions (GGA-PBE); Cu Kα).

Largest 10 diffraction maxima, most intense first, 10° ≤ 2θ ≤ 80°:
(hkl)	d (Å)	Rel. int.
-1 1 2	4.025	100
1 0 2	3.968	96
0 2 0	3.904	59
1 1 -2	3.593	48
1 1 -1	5.029	30
2 -1 0	2.946	24
0 1 3	3.638	24
-1 3 2	2.377	22
1 0 1	5.692	21
3 3 2	2.302	20

Crystal structure
```
data_Cs2K4RbNa2
_cell_length_a 8.004
_cell_length_b 9.187
_cell_length_c 10.941
_cell_angle_alpha 66.41
_cell_angle_beta 86.22
_cell_angle_gamma 68.37
_space_group_name_H-M_alt 'P -1'
_space_group_IT_number 2
_space_group_name_Hall '-P 1'
loop_
_atom_site_label
_atom_site_type_symbol
_atom_site_fract_x
_atom_site_fract_y
_atom_site_fract_z
Cs1 Cs 0.245 0.017 0.337
K1 K 0.258 0.984 0.891
K2 K 0.409 0.508 0.781
Rb1 Rb 0.000 0.500 0.500
Na1 Na 0.088 0.582 0.086
```


Structure and calculated powder diffractogram of Cs4KRb2Na (DFT lattice parameters and positions (GGA-PBE); Cu Kα).

Largest 10 diffraction maxima, most intense first, 10° ≤ 2θ ≤ 80°:
(hkl)	d (Å)	Rel. int.
2 0 -2	4.192	100
1 1 -3	3.589	64
0 2 0	2.582	28
0 0 4	4.012	26
2 0 -6	2.496	19
0 2 4	2.172	19
0 0 2	8.023	17
1 1 -1	4.396	15
1 3 1	1.674	15
4 0 -4	2.096	14

Crystal structure
```
data_Cs4KRb2Na
_cell_length_a 8.950
_cell_length_b 5.160
_cell_length_c 16.310
_cell_angle_alpha 90.00
_cell_angle_beta 100.31
_cell_angle_gamma 90.00
_space_group_name_H-M_alt 'P 1 2/m 1'
_space_group_IT_number 10
_space_group_name_Hall '-P 2y'
loop_
_atom_site_label
_atom_site_type_symbol
_atom_site_fract_x
_atom_site_fract_y
_atom_site_fract_z
Cs1 Cs 0.233 0.000 0.224
Cs2 Cs 0.249 0.500 0.762
K1 K 0.500 0.000 0.000
Rb1 Rb 0.000 0.000 0.500
Rb2 Rb 0.500 0.500 0.500
Na1 Na 0.000 0.500 0.000
```


Structure and calculated powder diffractogram of CsK2Rb2Na (DFT lattice parameters and positions (GGA-PBE); Cu Kα).

Largest 10 diffraction maxima, most intense first, 10° ≤ 2θ ≤ 80°:
(hkl)	d (Å)	Rel. int.
2 2 0	2.975	100
1 1 2	4.857	89
2 0 0	4.214	88
0 0 4	4.192	39
2 2 4	2.429	36
3 1 2	2.540	35
4 2 0	1.884	34
1 0 1	7.530	30
1 0 3	4.658	30
4 2 4	1.719	24

Crystal structure
```
data_CsK2Rb2Na
_cell_length_a 8.428
_cell_length_b 8.428
_cell_length_c 16.770
_cell_angle_alpha 90.00
_cell_angle_beta 90.00
_cell_angle_gamma 90.00
_space_group_name_H-M_alt 'I 4/m m m'
_space_group_IT_number 139
_space_group_name_Hall '-I 4 2'
loop_
_atom_site_label
_atom_site_type_symbol
_atom_site_fract_x
_atom_site_fract_y
_atom_site_fract_z
Cs1 Cs 0.000 0.000 0.000
K1 K 0.000 0.000 0.280
Rb1 Rb 0.000 0.500 0.250
Na1 Na 0.000 0.000 0.500
```


Structure and calculated powder diffractogram of CsK2Rb4Na2 (DFT lattice parameters and positions (GGA-PBE); Cu Kα).

Largest 10 diffraction maxima, most intense first, 10° ≤ 2θ ≤ 80°:
(hkl)	d (Å)	Rel. int.
0 2 -2	3.739	100
-1 2 1	3.780	73
1 1 0	4.273	72
1 0 -3	3.700	69
-2 1 1	4.018	57
1 -1 2	4.122	55
1 0 2	3.639	37
0 1 3	2.849	34
2 -2 1	3.297	33
-1 1 1	5.996	29

Crystal structure
```
data_CsK2Rb4Na2
_cell_length_a 8.153
_cell_length_b 8.821
_cell_length_c 11.476
_cell_angle_alpha 101.64
_cell_angle_beta 103.70
_cell_angle_gamma 113.25
_space_group_name_H-M_alt 'P -1'
_space_group_IT_number 2
_space_group_name_Hall '-P 1'
loop_
_atom_site_label
_atom_site_type_symbol
_atom_site_fract_x
_atom_site_fract_y
_atom_site_fract_z
Cs1 Cs 0.000 0.000 0.000
K1 K 0.436 0.645 0.169
Rb1 Rb 0.147 0.865 0.396
Rb2 Rb 0.317 0.738 0.766
Na1 Na 0.257 0.383 0.418
```


Structure and calculated powder diffractogram of CsK7RbNa2 (DFT lattice parameters and positions (GGA-PBE); Cu Kα).

Largest 10 diffraction maxima, most intense first, 10° ≤ 2θ ≤ 80°:
(hkl)	d (Å)	Rel. int.
1 1 2	4.351	100
2 0 0	3.448	51
1 0 2	5.608	36
1 0 4	3.950	31
1 1 6	2.683	28
3 1 2	2.127	27
0 0 4	4.819	22
2 0 4	2.804	21
2 1 4	2.597	20
1 1 0	4.876	19

Crystal structure
```
data_CsK7RbNa2
_cell_length_a 6.895
_cell_length_b 6.895
_cell_length_c 19.276
_cell_angle_alpha 90.00
_cell_angle_beta 90.00
_cell_angle_gamma 90.00
_space_group_name_H-M_alt 'P 4/m m m'
_space_group_IT_number 123
_space_group_name_Hall '-P 4 2'
loop_
_atom_site_label
_atom_site_type_symbol
_atom_site_fract_x
_atom_site_fract_y
_atom_site_fract_z
Cs1 Cs 0.000 0.000 0.000
K1 K 0.000 0.500 0.255
K2 K 0.500 0.500 0.107
K3 K 0.500 0.500 0.500
Rb1 Rb 0.000 0.000 0.500
Na1 Na 0.500 0.500 0.320
```


Structure and calculated powder diffractogram of CsKNb2 (DFT lattice parameters and positions (GGA-PBE); Cu Kα).

Largest 10 diffraction maxima, most intense first, 10° ≤ 2θ ≤ 80°:
(hkl)	d (Å)	Rel. int.
1 1 2	3.101	100
1 0 1	4.444	98
0 0 8	3.383	92
1 1 6	2.602	61
2 0 4	2.137	48
1 0 7	2.934	34
2 1 3	1.966	32
1 1 10	2.062	30
2 1 5	1.888	29
1 0 9	2.501	22

Crystal structure
```
data_CsKNb2
_cell_length_a 4.505
_cell_length_b 4.505
_cell_length_c 27.063
_cell_angle_alpha 90.00
_cell_angle_beta 90.00
_cell_angle_gamma 90.00
_space_group_name_H-M_alt 'I -4 2 d'
_space_group_IT_number 122
_space_group_name_Hall 'I -4 2bw'
loop_
_atom_site_label
_atom_site_type_symbol
_atom_site_fract_x
_atom_site_fract_y
_atom_site_fract_z
Cs1 Cs 0.000 0.000 0.000
K1 K 0.000 0.000 0.500
Nb1 Nb 0.114 0.750 0.125
```


Structure and calculated powder diffractogram of CsKNbSe4 (DFT lattice parameters and positions (GGA-PBE); Cu Kα).

Largest 10 diffraction maxima, most intense first, 10° ≤ 2θ ≤ 80°:
(hkl)	d (Å)	Rel. int.
1 1 1	4.232	100
2 0 -2	3.557	84
1 0 -4	2.744	78
1 1 2	3.374	70
2 2 0	2.461	59
1 2 0	2.956	54
1 0 -1	7.114	48
1 2 4	1.898	44
1 0 2	3.969	44
0 1 1	5.494	42

Crystal structure
```
data_CsKNbSe4
_cell_length_a 7.932
_cell_length_b 6.402
_cell_length_c 11.028
_cell_angle_alpha 90.00
_cell_angle_beta 103.93
_cell_angle_gamma 90.00
_space_group_name_H-M_alt 'P 1 21/m 1'
_space_group_IT_number 11
_space_group_name_Hall '-P 2yb'
loop_
_atom_site_label
_atom_site_type_symbol
_atom_site_fract_x
_atom_site_fract_y
_atom_site_fract_z
Cs1 Cs 0.236 0.250 0.465
K1 K 0.270 0.250 0.945
Nb1 Nb 0.271 0.750 0.190
Se1 Se 0.064 0.750 0.319
Se2 Se 0.136 0.750 0.973
Se3 Se 0.493 0.024 0.247
```


Structure and calculated powder diffractogram of Cs2KNp2O7 (DFT lattice parameters and positions (GGA-PBE); Cu Kα).

Largest 10 diffraction maxima, most intense first, 10° ≤ 2θ ≤ 80°:
(hkl)	d (Å)	Rel. int.
1 0 5	3.213	100
1 1 0	3.067	53
2 1 5	1.797	39
1 0 1	4.268	35
2 0 0	2.169	28
1 1 10	1.886	17
0 0 4	5.978	16
2 0 10	1.606	12
0 0 10	2.391	10
3 1 0	1.372	10

Crystal structure
```
data_Cs2KNp2O7
_cell_length_a 4.337
_cell_length_b 4.337
_cell_length_c 23.911
_cell_angle_alpha 90.00
_cell_angle_beta 90.00
_cell_angle_gamma 90.00
_space_group_name_H-M_alt 'I 4/m m m'
_space_group_IT_number 139
_space_group_name_Hall '-I 4 2'
loop_
_atom_site_label
_atom_site_type_symbol
_atom_site_fract_x
_atom_site_fract_y
_atom_site_fract_z
Cs1 Cs 0.000 0.000 0.190
K1 K 0.000 0.000 0.000
Np1 Np 0.000 0.000 0.411
O1 O 0.000 0.000 0.329
O2 O 0.000 0.000 0.500
O3 O 0.000 0.500 0.088
```


Structure and calculated powder diffractogram of CsK2Np2O7 (DFT lattice parameters and positions (GGA-PBE); Cu Kα).

Largest 10 diffraction maxima, most intense first, 10° ≤ 2θ ≤ 80°:
(hkl)	d (Å)	Rel. int.
1 0 5	3.109	100
1 1 0	3.079	55
2 1 5	1.783	41
1 0 1	4.273	34
2 0 0	2.177	30
1 1 10	1.800	22
0 0 4	5.548	19
2 0 10	1.554	19
1 0 3	3.753	17
0 0 10	2.219	15

Crystal structure
```
data_CsK2Np2O7
_cell_length_a 4.355
_cell_length_b 4.355
_cell_length_c 22.193
_cell_angle_alpha 90.00
_cell_angle_beta 90.00
_cell_angle_gamma 90.00
_space_group_name_H-M_alt 'I 4/m m m'
_space_group_IT_number 139
_space_group_name_Hall '-I 4 2'
loop_
_atom_site_label
_atom_site_type_symbol
_atom_site_fract_x
_atom_site_fract_y
_atom_site_fract_z
Cs1 Cs 0.000 0.000 0.000
K1 K 0.000 0.000 0.191
Np1 Np 0.000 0.000 0.401
O1 O 0.000 0.000 0.314
O2 O 0.000 0.000 0.500
O3 O 0.000 0.500 0.100
```


Structure and calculated powder diffractogram of Cs3K2O (DFT lattice parameters and positions (GGA-PBE); Cu Kα).

Largest 10 diffraction maxima, most intense first, 10° ≤ 2θ ≤ 80°:
(hkl)	d (Å)	Rel. int.
3 1 1	4.478	100
0 2 1	4.958	37
6 2 1	2.597	21
3 1 0	5.519	20
3 3 0	3.528	19
6 0 2	2.385	19
2 2 1	4.358	19
3 1 3	2.318	17
2 4 0	3.063	16
1 3 0	4.218	16

Crystal structure
```
data_Cs3K2O
_cell_length_a 18.287
_cell_length_b 13.005
_cell_length_c 7.662
_cell_angle_alpha 90.00
_cell_angle_beta 90.00
_cell_angle_gamma 90.00
_space_group_name_H-M_alt 'C m c m'
_space_group_IT_number 63
_space_group_name_Hall '-C 2c 2'
loop_
_atom_site_label
_atom_site_type_symbol
_atom_site_fract_x
_atom_site_fract_y
_atom_site_fract_z
Cs1 Cs 0.000 0.242 0.250
Cs2 Cs 0.175 0.140 0.750
K1 K 0.088 0.500 0.000
O1 O 0.000 0.443 0.250
```


Structure and calculated powder diffractogram of Cs4KO (DFT lattice parameters and positions (GGA-PBE); Cu Kα).

Largest 10 diffraction maxima, most intense first, 10° ≤ 2θ ≤ 80°:
(hkl)	d (Å)	Rel. int.
2 1 1	4.114	100
1 0 1	6.240	77
2 2 0	3.868	34
0 0 2	3.799	34
1 4 1	2.505	32
2 2 2	2.710	31
1 3 0	3.460	26
3 2 1	2.818	23
1 3 2	2.558	22
5 3 2	1.682	17

Crystal structure
```
data_Cs4KO
_cell_length_a 10.941
_cell_length_b 10.941
_cell_length_c 7.597
_cell_angle_alpha 90.00
_cell_angle_beta 90.00
_cell_angle_gamma 90.00
_space_group_name_H-M_alt 'I 4'
_space_group_IT_number 79
_space_group_name_Hall 'I 4'
loop_
_atom_site_label
_atom_site_type_symbol
_atom_site_fract_x
_atom_site_fract_y
_atom_site_fract_z
Cs1 Cs 0.045 0.250 0.000
K1 K 0.000 0.000 0.589
O1 O 0.000 0.000 0.926
```